Diffraction record for Pm5Mg2Ge4. The powder XRD pattern is simulated, not measured: it uses a structure optimized by DFT (PBE) and Cu Kα (weighted mean of Kα1 and Kα2).

Peak list (8 most intense, 2θ = 10–90°, sorted by position)
2θ/deg	d/Å	I/Imax
25.1	3.544	57
26.0	3.421	46
27.6	3.231	66
32.9	2.724	100
35.5	2.532	32
40.1	2.247	27
40.2	2.241	26
42.7	2.119	35

Structural model:
Cell: 20.670 4.238 7.236 Å, 90.00 110.30 90.00°
Space group C2/m (No. 12)
Unique sites:
Pm 0.000 0.000 0.000 x2
Pm 0.164 0.500 0.398 x4
Pm 0.164 0.500 0.931 x4
Mg 0.072 0.000 0.575 x4
Ge 0.000 0.500 0.305 x4
Ge 0.209 0.000 0.709 x4

=====

Diffraction record for Pm3Mg2Ge4. The powder XRD pattern is simulated, not measured: it uses a structure optimized by DFT (PBE) and Cu Kα (weighted mean of Kα1 and Kα2).

Peak list (8 most intense, 2θ = 10–90°, sorted by position)
2θ/deg	d/Å	I/Imax
19.7	4.508	35
24.7	3.603	77
29.5	3.030	36
32.3	2.776	100
35.0	2.560	41
36.9	2.433	99
38.1	2.364	55
42.3	2.138	45

Structural model:
Cell: 10.985 4.276 9.044 Å, 90.00 94.76 90.00°
Space group C2/m (No. 12)
Unique sites:
Pm 0.000 0.000 0.000 x2
Pm 0.132 0.500 0.385 x4
Mg 0.171 0.500 0.770 x4
Ge 0.075 0.000 0.619 x4
Ge 0.199 0.500 0.073 x4

=====

Diffraction record for Pm2MgGe4. The powder XRD pattern is simulated, not measured: it uses a structure optimized by DFT (PBE) and Cu Kα (weighted mean of Kα1 and Kα2).

Peak list (8 most intense, 2θ = 10–90°, sorted by position)
2θ/deg	d/Å	I/Imax
17.6	5.042	19
23.4	3.805	17
30.8	2.906	13
35.7	2.518	100
44.1	2.055	26
57.9	1.593	15
64.1	1.454	15
75.6	1.258	25

Structural model:
Cell: 4.109 4.109 10.084 Å, 90.00 90.00 90.00°
Space group P-4m2 (No. 115)
Unique sites:
Pm 0.000 0.500 0.238 x2
Mg 0.000 0.000 0.500 x1
Ge 0.000 0.000 0.000 x1
Ge 0.000 0.500 0.696 x2
Ge 0.500 0.500 0.000 x1

=====

Diffraction record for Pm2Mg3Ge4. The powder XRD pattern is simulated, not measured: it uses a structure optimized by DFT (PBE) and Cu Kα (weighted mean of Kα1 and Kα2).

Peak list (8 most intense, 2θ = 10–90°, sorted by position)
2θ/deg	d/Å	I/Imax
19.0	4.660	32
31.4	2.845	58
33.4	2.687	57
33.7	2.658	100
35.1	2.558	70
36.9	2.438	64
37.2	2.417	32
48.4	1.881	28

Structural model:
Cell: 6.102 15.850 8.108 Å, 90.00 90.00 90.00°
Space group Cmce (No. 64)
Unique sites:
Pm 0.000 0.113 0.087 x8
Mg 0.000 0.000 0.500 x4
Mg 0.250 0.211 0.750 x8
Ge 0.000 0.187 0.447 x8
Ge 0.250 0.043 0.750 x8

=====

Diffraction record for Pm3MgGe. The powder XRD pattern is simulated, not measured: it uses a structure optimized by DFT (PBE) and Cu Kα (weighted mean of Kα1 and Kα2).

Peak list (8 most intense, 2θ = 10–90°, sorted by position)
2θ/deg	d/Å	I/Imax
20.5	4.340	8
23.7	3.759	24
33.7	2.658	100
48.4	1.879	17
54.6	1.681	8
60.3	1.534	33
70.9	1.329	10
80.9	1.189	13

Structural model:
Cell: 7.517 7.517 7.517 Å, 90.00 90.00 90.00°
Space group Pm-3m (No. 221)
Unique sites:
Pm 0.000 0.000 0.000 x1
Pm 0.265 0.265 0.265 x8
Mg 0.000 0.000 0.500 x3
Ge 0.000 0.500 0.500 x3

=====

Diffraction record for PmMgGe2Pt2. The powder XRD pattern is simulated, not measured: it uses a structure optimized by DFT (PBE) and Cu Kα (weighted mean of Kα1 and Kα2).

Peak list (8 most intense, 2θ = 10–90°, sorted by position)
2θ/deg	d/Å	I/Imax
26.8	3.321	84
35.1	2.556	100
39.0	2.312	21
41.3	2.184	90
50.0	1.825	16
55.3	1.660	27
58.1	1.588	39
71.4	1.322	25

Structural model:
Cell: 4.3681 4.3681 6.9355 Å, 90.00 90.00 120.00°
Space group P-3m1 (No. 164)
Unique sites:
Pm 0.0000 0.0000 0.0000 x1
Mg 0.0000 0.0000 0.5000 x1
Ge 0.3333 0.6667 0.7175 x2
Pt 0.3333 0.6667 0.3052 x2

=====

Diffraction record for Pm2MgGePt6. The powder XRD pattern is simulated, not measured: it uses a structure optimized by DFT (PBE) and Cu Kα (weighted mean of Kα1 and Kα2).

Peak list (8 most intense, 2θ = 10–90°, sorted by position)
2θ/deg	d/Å	I/Imax
22.7	3.921	74
26.3	3.386	25
37.7	2.387	100
39.4	2.287	27
40.0	2.252	96
42.7	2.119	24
48.5	1.877	33
66.4	1.408	29

Structural model:
Cell: 5.6302 5.6302 23.5255 Å, 90.00 90.00 120.00°
Space group R-3m (No. 166, hexagonal axes)
Unique sites:
Pm 0.0000 0.0000 0.2062 x6
Mg 0.0000 0.0000 0.5000 x3
Ge 0.0000 0.0000 0.0000 x3
Pt 0.0050 0.5025 0.2534 x18

=====

Diffraction record for PmMgGePt2. The powder XRD pattern is simulated, not measured: it uses a structure optimized by DFT (PBE) and Cu Kα (weighted mean of Kα1 and Kα2).

Peak list (8 most intense, 2θ = 10–90°, sorted by position)
2θ/deg	d/Å	I/Imax
24.7	3.609	27
30.3	2.954	41
34.9	2.570	100
42.2	2.140	27
42.5	2.126	20
43.5	2.079	22
44.1	2.055	27
62.7	1.482	19

Structural model:
Cell: 3.777 4.279 12.247 Å, 90.00 90.00 90.00°
Space group Imm2 (No. 44)
Unique sites:
Pm 0.000 0.000 0.000 x2
Mg 0.000 0.500 0.759 x2
Ge 0.000 0.000 0.618 x2
Pt 0.000 0.000 0.416 x2
Pt 0.000 0.500 0.253 x2

=====

Diffraction record for Pm2MgGe3Rh4. The powder XRD pattern is simulated, not measured: it uses a structure optimized by DFT (PBE) and Cu Kα (weighted mean of Kα1 and Kα2).

Peak list (8 most intense, 2θ = 10–90°, sorted by position)
2θ/deg	d/Å	I/Imax
30.2	2.955	20
33.1	2.705	64
34.7	2.583	100
43.3	2.089	59
48.0	1.897	35
55.6	1.653	29
66.6	1.404	26
73.9	1.282	22

Structural model:
Cell: 4.179 4.179 10.644 Å, 90.00 90.00 90.00°
Space group P-4m2 (No. 115)
Unique sites:
Pm 0.000 0.500 0.243 x2
Mg 0.000 0.000 0.500 x1
Ge 0.000 0.500 0.873 x2
Ge 0.500 0.500 0.500 x1
Rh 0.000 0.000 0.000 x1
Rh 0.000 0.500 0.642 x2
Rh 0.500 0.500 0.000 x1

=====

Diffraction record for Pr4Mg5Ge6. The powder XRD pattern is simulated, not measured: it uses a structure optimized by DFT (PBE) and Cu Kα (weighted mean of Kα1 and Kα2).

Peak list (8 most intense, 2θ = 10–90°, sorted by position)
2θ/deg	d/Å	I/Imax
20.3	4.377	27
28.5	3.133	29
29.2	3.056	34
29.9	2.991	39
30.2	2.957	66
30.4	2.941	39
34.4	2.611	100
40.2	2.242	54

Structural model:
Cell: 4.485 20.075 16.042 Å, 90.00 90.00 90.00°
Space group Cmc2_1 (No. 36)
Unique sites:
Pr 0.000 0.014 0.000 x4
Pr 0.000 0.034 0.737 x4
Pr 0.000 0.164 0.199 x4
Pr 0.000 0.175 0.559 x4
Mg 0.000 0.155 0.878 x4
Mg 0.000 0.303 0.881 x4
Mg 0.000 0.339 0.234 x4
Mg 0.000 0.350 0.522 x4
Mg 0.000 0.442 0.831 x4
Ge 0.000 0.114 0.383 x4
Ge 0.000 0.226 0.023 x4
Ge 0.000 0.233 0.736 x4
Ge 0.000 0.427 0.374 x4
Ge 0.000 0.433 0.099 x4
Ge 0.000 0.445 0.650 x4

=====

Diffraction record for PrMg6Ge2. The powder XRD pattern is simulated, not measured: it uses a structure optimized by DFT (PBE) and Cu Kα (weighted mean of Kα1 and Kα2).

Peak list (8 most intense, 2θ = 10–90°, sorted by position)
2θ/deg	d/Å	I/Imax
26.5	3.367	34
28.9	3.085	47
30.2	2.961	70
32.6	2.744	66
33.6	2.665	100
39.8	2.263	58
41.4	2.181	61
58.8	1.570	37

Structural model:
Cell: 4.362 4.362 10.589 Å, 90.00 90.00 90.00°
Space group P4/mmm (No. 123)
Unique sites:
Pr 0.000 0.000 0.000 x1
Mg 0.000 0.000 0.500 x1
Mg 0.000 0.500 0.278 x4
Mg 0.500 0.500 0.500 x1
Ge 0.500 0.500 0.119 x2

=====

Diffraction record for PrMg2Ge2Pt. The powder XRD pattern is simulated, not measured: it uses a structure optimized by DFT (PBE) and Cu Kα (weighted mean of Kα1 and Kα2).

Peak list (8 most intense, 2θ = 10–90°, sorted by position)
2θ/deg	d/Å	I/Imax
17.8	4.992	58
25.5	3.497	51
26.8	3.328	51
30.8	2.906	77
32.1	2.790	81
41.2	2.189	100
44.1	2.055	44
52.3	1.748	32

Structural model:
Cell: 4.109 4.109 19.967 Å, 90.00 90.00 90.00°
Space group I4/mmm (No. 139)
Unique sites:
Pr 0.000 0.000 0.000 x2
Mg 0.000 0.500 0.250 x4
Ge 0.000 0.000 0.154 x4
Pt 0.000 0.000 0.500 x2

=====

Diffraction record for Mg4GePt2. The powder XRD pattern is simulated, not measured: it uses a structure optimized by DFT (PBE) and Cu Kα (weighted mean of Kα1 and Kα2).

Peak list (8 most intense, 2θ = 10–90°, sorted by position)
2θ/deg	d/Å	I/Imax
13.7	6.487	33
19.1	4.642	81
25.3	3.515	100
36.1	2.486	60
37.7	2.384	30
39.2	2.300	78
54.3	1.688	61
78.6	1.217	29

Structural model:
Cell: 4.972 4.972 12.974 Å, 90.00 90.00 90.00°
Space group I4/mmm (No. 139)
Unique sites:
Mg 0.000 0.000 0.199 x4
Mg 0.000 0.500 0.000 x4
Ge 0.000 0.000 0.000 x2
Pt 0.000 0.000 0.395 x4

=====

Diffraction record for MgGeRuPt. The powder XRD pattern is simulated, not measured: it uses a structure optimized by DFT (PBE) and Cu Kα (weighted mean of Kα1 and Kα2).

Peak list (8 most intense, 2θ = 10–90°, sorted by position)
2θ/deg	d/Å	I/Imax
25.0	3.566	16
28.9	3.088	31
41.3	2.184	100
51.2	1.783	9
59.9	1.544	17
67.9	1.381	11
75.4	1.261	34
89.8	1.092	11

Structural model:
Cell: 6.177 6.177 6.177 Å, 90.00 90.00 90.00°
Space group F-43m (No. 216)
Unique sites:
Mg 0.000 0.000 0.000 x4
Ge 0.000 0.000 0.500 x4
Ru 0.250 0.250 0.250 x4
Pt 0.250 0.250 0.750 x4